[1]
Computed X-ray powder pattern of Eu4O3F7 for Cu Kα, from the PBE geometry in the Materials Project.

Largest 6 diffraction maxima, by angle, 5 to 70 degrees two-theta:
two_theta  d (Å)  Rel. int.
26.85  3.321  100
27.24  3.274  88
30.40  2.940  31
31.25  2.863  29
44.16  2.051  40
45.56  1.991  35

Cell and atoms:
a b c (Å): 5.544 5.725 5.881
angles (deg): 90.00 91.22 90.00
Atoms (fractional coordinates):
Eu1 0.224 0.000 0.253
Eu2 0.266 0.482 0.750
Eu3 0.734 0.482 0.250
Eu4 0.776 0.000 0.747
O1 0.000 0.234 0.500
O2 0.000 0.284 0.000
O3 0.500 0.256 0.500
F1 0.000 0.711 0.500
F2 0.178 0.878 0.855
F3 0.325 0.592 0.154
F4 0.500 0.191 0.000
F5 0.500 0.788 0.500
F6 0.675 0.592 0.846
F7 0.822 0.878 0.145

***

[2]
Computed X-ray powder pattern of Rb3EuF6 for Cu Kα, from the PBE geometry in the Materials Project.

Largest 6 diffraction maxima, by angle, 5 to 70 degrees two-theta:
two_theta  d (Å)  Rel. int.
15.28  5.799  25
24.82  3.588  97
25.21  3.533  100
35.38  2.537  28
43.94  2.061  60
44.65  2.030  38

Cell and atoms:
a b c (Å): 7.069 7.069 7.069
angles (deg): 119.00 119.00 91.74
Atoms (fractional coordinates):
Rb1 0.000 0.000 0.000
Rb2 0.250 0.750 0.500
Rb3 0.750 0.250 0.500
Eu1 0.500 0.500 0.000
F1 0.189 0.500 0.689
F2 0.266 0.266 0.000
F3 0.500 0.189 0.689
F4 0.500 0.811 0.311
F5 0.734 0.734 0.000
F6 0.811 0.500 0.311